(1)
Computed powder X-ray diffraction pattern of CuRhO2 for λ = 1.5418 Å (Cu Kα), from the PBE geometry in the Materials Project.
Intensities are scaled so that the largest is 100.

Most intense lines, 10° ≤ 2θ ≤ 90°, in order of falling intensity:
- 34.65 deg, rel. 100
- 39.27 deg, rel. 45
- 31.27 deg, rel. 31
- 54.52 deg, rel. 29
- 58.91 deg, rel. 25
- 15.49 deg, rel. 21
- 68.22 deg, rel. 20
- 64.20 deg, rel. 18
- 70.18 deg, rel. 12
- 84.44 deg, rel. 8

Atomic structure:
a b c (Å): 6.000 6.000 6.000
angles (deg): 30.30 30.30 30.30
Sites, in units of the cell vectors:
Cu: 0.000 0.000 0.000
Rh: 0.500 0.500 0.500
O: 0.107 0.107 0.107
O: 0.893 0.893 0.893


(2)
Computed powder X-ray diffraction pattern of CaC4N6 for λ = 1.5418 Å (Cu Kα), from the PBE geometry in the Materials Project.
Intensities are scaled so that the largest is 100.

Most intense lines, 10° ≤ 2θ ≤ 90°, in order of falling intensity:
- 28.24 deg, rel. 100
- 36.66 deg, rel. 56
- 22.52 deg, rel. 49
- 13.96 deg, rel. 46
- 27.86 deg, rel. 33
- 49.65 deg, rel. 31
- 25.42 deg, rel. 31
- 38.28 deg, rel. 31
- 28.55 deg, rel. 29
- 33.40 deg, rel. 28

Atomic structure:
a b c (Å): 7.106 7.106 7.943
angles (deg): 95.50 95.50 52.21
Sites, in units of the cell vectors:
Ca: 0.087 0.913 0.750
Ca: 0.913 0.087 0.250
C: 0.257 0.286 0.693
C: 0.286 0.257 0.193
C: 0.288 0.543 0.091
C: 0.457 0.712 0.409
C: 0.543 0.288 0.591
C: 0.712 0.457 0.909
C: 0.714 0.743 0.807
C: 0.743 0.714 0.307
N: 0.170 0.198 0.730
N: 0.198 0.170 0.230
N: 0.202 0.729 0.033
N: 0.271 0.798 0.467
N: 0.339 0.399 0.659
N: 0.399 0.339 0.159
N: 0.601 0.661 0.841
N: 0.661 0.601 0.341
N: 0.729 0.202 0.533
N: 0.798 0.271 0.967
N: 0.802 0.830 0.770
N: 0.830 0.802 0.270


(3)
Computed powder X-ray diffraction pattern of KBiF6 for λ = 1.5418 Å (Cu Kα), from the PBE geometry in the Materials Project.
Intensities are scaled so that the largest is 100.

Most intense lines, 10° ≤ 2θ ≤ 90°, in order of falling intensity:
- 23.92 deg, rel. 100
- 16.17 deg, rel. 78
- 22.94 deg, rel. 66
- 40.90 deg, rel. 57
- 17.52 deg, rel. 32
- 29.01 deg, rel. 29
- 42.66 deg, rel. 22
- 48.98 deg, rel. 18
- 51.92 deg, rel. 16
- 65.23 deg, rel. 16

Atomic structure:
a b c (Å): 5.482 5.482 10.127
angles (deg): 90.00 90.00 90.00
Sites, in units of the cell vectors:
K: 0.000 0.000 0.250
K: 0.000 0.000 0.750
Bi: 0.500 0.500 0.000
Bi: 0.500 0.500 0.500
F: 0.235 0.235 0.000
F: 0.235 0.765 0.500
F: 0.311 0.311 0.359
F: 0.311 0.311 0.641
F: 0.311 0.689 0.141
F: 0.311 0.689 0.859
F: 0.689 0.311 0.141
F: 0.689 0.311 0.859
F: 0.689 0.689 0.359
F: 0.689 0.689 0.641
F: 0.765 0.235 0.500
F: 0.765 0.765 0.000


(4)
Computed powder X-ray diffraction pattern of Mg4Ti3 for λ = 1.5418 Å (Cu Kα), from the PBE geometry in the Materials Project.
Intensities are scaled so that the largest is 100.

Most intense lines, 10° ≤ 2θ ≤ 90°, in order of falling intensity:
- 38.65 deg, rel. 100
- 36.27 deg, rel. 27
- 33.97 deg, rel. 26
- 66.83 deg, rel. 17
- 72.88 deg, rel. 17
- 60.77 deg, rel. 17
- 50.53 deg, rel. 16
- 12.68 deg, rel. 12
- 74.39 deg, rel. 12
- 22.00 deg, rel. 10

Atomic structure:
a b c (Å): 8.063 8.063 4.954
angles (deg): 90.00 90.00 120.00
Sites, in units of the cell vectors:
Mg: 0.053 0.804 0.250
Mg: 0.196 0.249 0.250
Mg: 0.249 0.053 0.750
Mg: 0.333 0.667 0.250
Mg: 0.667 0.333 0.750
Mg: 0.751 0.947 0.250
Mg: 0.804 0.751 0.750
Mg: 0.947 0.196 0.750
Ti: 0.109 0.621 0.750
Ti: 0.379 0.488 0.750
Ti: 0.488 0.109 0.250
Ti: 0.512 0.891 0.750
Ti: 0.621 0.512 0.250
Ti: 0.891 0.379 0.250


(5)
Computed powder X-ray diffraction pattern of Ce3Ge13Ir4 for λ = 1.5418 Å (Cu Kα), from the PBE geometry in the Materials Project.
Intensities are scaled so that the largest is 100.

Most intense lines, 10° ≤ 2θ ≤ 90°, in order of falling intensity:
- 35.62 deg, rel. 100
- 49.11 deg, rel. 61
- 34.18 deg, rel. 56
- 39.67 deg, rel. 55
- 19.54 deg, rel. 54
- 44.59 deg, rel. 47
- 37.01 deg, rel. 41
- 68.48 deg, rel. 40
- 27.76 deg, rel. 33
- 57.35 deg, rel. 22

Atomic structure:
a b c (Å): 9.088 9.088 9.088
angles (deg): 90.00 90.00 90.00
Sites, in units of the cell vectors:
Ce: 0.000 0.250 0.500
Ce: 0.000 0.750 0.500
Ce: 0.250 0.500 0.000
Ce: 0.500 0.000 0.250
Ce: 0.500 0.000 0.750
Ce: 0.750 0.500 0.000
Ge: 0.000 0.000 0.000
Ge: 0.000 0.309 0.145
Ge: 0.000 0.309 0.855
Ge: 0.000 0.691 0.145
Ge: 0.000 0.691 0.855
Ge: 0.145 0.000 0.309
Ge: 0.145 0.000 0.691
Ge: 0.191 0.500 0.355
Ge: 0.191 0.500 0.645
Ge: 0.309 0.145 0.000
Ge: 0.309 0.855 0.000
Ge: 0.355 0.191 0.500
Ge: 0.355 0.809 0.500
Ge: 0.500 0.355 0.191
Ge: 0.500 0.355 0.809
Ge: 0.500 0.500 0.500
Ge: 0.500 0.645 0.191
Ge: 0.500 0.645 0.809
Ge: 0.645 0.191 0.500
Ge: 0.645 0.809 0.500
Ge: 0.691 0.145 0.000
Ge: 0.691 0.855 0.000
Ge: 0.809 0.500 0.355
Ge: 0.809 0.500 0.645
Ge: 0.855 0.000 0.309
Ge: 0.855 0.000 0.691
Ir: 0.250 0.250 0.250
Ir: 0.250 0.250 0.750
Ir: 0.250 0.750 0.250
Ir: 0.250 0.750 0.750
Ir: 0.750 0.250 0.250
Ir: 0.750 0.250 0.750
Ir: 0.750 0.750 0.250
Ir: 0.750 0.750 0.750


(6)
Computed powder X-ray diffraction pattern of Na2Ca4ZrNbSi4O16F2 for λ = 1.5418 Å (Cu Kα), from the PBE geometry in the Materials Project.
Intensities are scaled so that the largest is 100.

Most intense lines, 10° ≤ 2θ ≤ 90°, in order of falling intensity:
- 31.05 deg, rel. 100
- 29.38 deg, rel. 69
- 29.66 deg, rel. 64
- 27.18 deg, rel. 44
- 48.98 deg, rel. 32
- 12.63 deg, rel. 22
- 12.05 deg, rel. 22
- 24.61 deg, rel. 21
- 19.10 deg, rel. 20
- 30.91 deg, rel. 20

Atomic structure:
a b c (Å): 7.440 10.371 11.015
angles (deg): 90.00 109.16 90.00
Sites, in units of the cell vectors:
Na: 0.052 0.000 0.368
Na: 0.188 0.155 0.118
Na: 0.812 0.655 0.882
Na: 0.948 0.500 0.632
Ca: 0.054 0.387 0.349
Ca: 0.199 0.771 0.158
Ca: 0.295 0.272 0.850
Ca: 0.446 0.504 0.631
Ca: 0.554 0.004 0.369
Ca: 0.705 0.772 0.150
Ca: 0.801 0.271 0.842
Ca: 0.946 0.887 0.651
Zr: 0.449 0.872 0.660
Zr: 0.551 0.372 0.340
Nb: 0.327 0.633 0.881
Nb: 0.673 0.133 0.119
Si: 0.062 0.700 0.439
Si: 0.135 0.452 0.073
Si: 0.297 0.957 0.916
Si: 0.375 0.200 0.566
Si: 0.625 0.700 0.434
Si: 0.703 0.457 0.084
Si: 0.865 0.952 0.927
Si: 0.938 0.200 0.561
O: 0.016 0.728 0.288
O: 0.076 0.980 0.911
O: 0.115 0.330 0.979
O: 0.139 0.211 0.523
O: 0.149 0.557 0.487
O: 0.181 0.822 0.526
O: 0.191 0.589 0.021
O: 0.271 0.424 0.222
O: 0.271 0.485 0.781
O: 0.287 0.958 0.765
O: 0.377 0.822 0.991
O: 0.406 0.087 0.989
O: 0.407 0.303 0.462
O: 0.427 0.052 0.542
O: 0.465 0.703 0.756
O: 0.476 0.260 0.708
O: 0.524 0.760 0.292
O: 0.535 0.203 0.244
O: 0.573 0.552 0.458
O: 0.593 0.803 0.538
O: 0.594 0.587 0.011
O: 0.623 0.322 0.009
O: 0.713 0.458 0.235
O: 0.729 0.924 0.778
O: 0.729 0.985 0.219
O: 0.809 0.089 0.979
O: 0.819 0.322 0.474
O: 0.851 0.057 0.513
O: 0.861 0.711 0.477
O: 0.885 0.830 0.021
O: 0.924 0.480 0.089
O: 0.984 0.228 0.712
F: 0.045 0.707 0.775
F: 0.245 0.977 0.240
F: 0.755 0.477 0.760
F: 0.955 0.207 0.225


(7)
Computed powder X-ray diffraction pattern of Pr2UTe5 for λ = 1.5418 Å (Cu Kα), from the PBE geometry in the Materials Project.
Intensities are scaled so that the largest is 100.

Most intense lines, 10° ≤ 2θ ≤ 90°, in order of falling intensity:
- 40.81 deg, rel. 100
- 30.22 deg, rel. 81
- 35.00 deg, rel. 78
- 28.63 deg, rel. 66
- 36.27 deg, rel. 59
- 36.66 deg, rel. 55
- 28.46 deg, rel. 43
- 30.11 deg, rel. 42
- 55.89 deg, rel. 39
- 35.41 deg, rel. 38

Atomic structure:
a b c (Å): 9.865 9.865 8.904
angles (deg): 90.85 90.85 37.08
Sites, in units of the cell vectors:
Pr: 0.086 0.086 0.238
Pr: 0.244 0.256 0.766
Pr: 0.744 0.756 0.234
Pr: 0.914 0.914 0.762
U: 0.402 0.437 0.239
U: 0.563 0.598 0.761
Te: 0.072 0.096 0.863
Te: 0.073 0.571 0.499
Te: 0.248 0.259 0.139
Te: 0.248 0.752 0.500
Te: 0.417 0.420 0.872
Te: 0.429 0.927 0.501
Te: 0.580 0.583 0.128
Te: 0.741 0.752 0.861
Te: 0.744 0.256 0.500
Te: 0.904 0.928 0.137


(8)
Computed powder X-ray diffraction pattern of Sr3Ni2N4 for λ = 1.5418 Å (Cu Kα), from the PBE geometry in the Materials Project.
Intensities are scaled so that the largest is 100.

Most intense lines, 10° ≤ 2θ ≤ 90°, in order of falling intensity:
- 32.28 deg, rel. 100
- 28.40 deg, rel. 71
- 33.53 deg, rel. 57
- 36.39 deg, rel. 52
- 31.83 deg, rel. 39
- 36.81 deg, rel. 37
- 58.61 deg, rel. 32
- 33.25 deg, rel. 28
- 49.09 deg, rel. 23
- 47.84 deg, rel. 18

Atomic structure:
a b c (Å): 5.860 9.996 9.446
angles (deg): 90.00 90.00 90.00
Sites, in units of the cell vectors:
Sr: 0.101 0.155 0.088
Sr: 0.101 0.345 0.412
Sr: 0.250 0.000 0.403
Sr: 0.250 0.500 0.097
Sr: 0.399 0.655 0.412
Sr: 0.399 0.845 0.088
Sr: 0.601 0.155 0.912
Sr: 0.601 0.345 0.588
Sr: 0.750 0.000 0.597
Sr: 0.750 0.500 0.903
Sr: 0.899 0.655 0.588
Sr: 0.899 0.845 0.912
Ni: 0.147 0.250 0.750
Ni: 0.250 0.000 0.733
Ni: 0.250 0.500 0.767
Ni: 0.353 0.750 0.750
Ni: 0.647 0.250 0.250
Ni: 0.750 0.000 0.267
Ni: 0.750 0.500 0.233
Ni: 0.853 0.750 0.250
N: 0.005 0.093 0.828
N: 0.005 0.407 0.672
N: 0.133 0.645 0.869
N: 0.133 0.855 0.631
N: 0.367 0.145 0.631
N: 0.367 0.355 0.869
N: 0.495 0.593 0.672
N: 0.495 0.907 0.828
N: 0.505 0.093 0.172
N: 0.505 0.407 0.328
N: 0.633 0.645 0.131
N: 0.633 0.855 0.369
N: 0.867 0.145 0.369
N: 0.867 0.355 0.131
N: 0.995 0.593 0.328
N: 0.995 0.907 0.172